# Mn2CdFeO4
Simulated PXRD pattern, λ = 1.5418 Å (Cu Kα). Input: a DFT-relaxed cell (GGA+U, Alexandria).

Principal peaks in the range 10° ≤ 2θ ≤ 90°, low angle first:
16.82 deg, I 20
34.00 deg, I 62
34.09 deg, I 61
39.26 deg, I 52
39.65 deg, I 100
56.91 deg, I 31
57.14 deg, I 31
57.32 deg, I 30
67.84 deg, I 8
68.27 deg, I 12
68.42 deg, I 16
71.69 deg, I 14

a b c (Å): 6.428 6.431 6.448
angles (deg): 119.63 119.89 90.07
Fractional positions:
Mn (0.000, 0.000, 0.000)
Mn (0.000, 0.000, 0.500)
Mn (0.000, 0.500, 0.000)
Mn (0.500, 0.000, 0.500)
Cd (0.500, 0.500, 0.000)
Cd (0.500, 0.500, 0.500)
Fe (0.000, 0.500, 0.500)
Fe (0.500, 0.000, 0.000)
O (0.225, 0.739, 0.491)
O (0.240, 0.232, 0.486)
O (0.242, 0.756, 0.007)
O (0.251, 0.221, 0.987)
O (0.749, 0.779, 0.013)
O (0.758, 0.244, 0.993)
O (0.760, 0.768, 0.514)
O (0.775, 0.261, 0.509)